MgTa2Zn: theoretical X-ray powder pattern (a wavelength of 1.5418 Å), based on a cell relaxed with PBE.
No peak broadening, texture or thermal motion is included.

Peak list (12 most intense, 10 to 80 degrees two-theta, by angle)
- d = 4.842 Å, I 100
- d = 2.716 Å, I 19
- d = 2.597 Å, I 20
- d = 2.421 Å, I 54
- d = 2.369 Å, I 89
- d = 2.289 Å, I 90
- d = 2.235 Å, I 41
- d = 2.029 Å, I 20
- d = 1.642 Å, I 32
- d = 1.388 Å, I 16
- d = 1.371 Å, I 17
- d = 1.363 Å, I 20

Structure:
a = 2.8423 Å, b = 4.8423 Å, c = 5.3401 Å
α = 90.00°, β = 103.44°, γ = 90.00°
Space group P2/m (No. 10)
Unique sites:
Mg 0.0000 0.0000 0.0000
Ta 0.2995 0.5000 0.7365
Zn 0.5000 0.0000 0.5000